No. 1
Starting from DFT lattice parameters and positions (GGA-PBE), the powder X-ray diffraction pattern of HgRhAu was calculated for Cu Kα.

Largest 8 diffraction maxima, by angle, 2θ = 10–80°:
2θ 37.18, I = 100; 2θ 38.28, I = 92; 2θ 42.61, I = 71; 2θ 46.26, I = 27; 2θ 60.29, I = 12; 2θ 64.70, I = 40; 2θ 73.71, I = 28; 2θ 75.81, I = 25

Structural model:
a = 3.0701 Å, b = 3.9251 Å, c = 8.8082 Å
α = 90.00°, β = 90.00°, γ = 90.00°
Space group Imm2 (No. 44)
Inequivalent atoms, fractional coordinates:
Hg 0.0000 0.0000 0.0000
Rh 0.0000 0.0000 0.3372
Au 0.0000 0.0000 0.6746

No. 2
Starting from DFT lattice parameters and positions (GGA-PBE), the powder X-ray diffraction pattern of Nd6Ir2N was calculated for Cu Kα.

Largest 8 diffraction maxima, by angle, 2θ = 10–80°:
2θ 18.04, I = 56; 2θ 30.43, I = 94; 2θ 30.65, I = 66; 2θ 31.26, I = 69; 2θ 33.09, I = 100; 2θ 33.27, I = 56; 2θ 36.56, I = 54; 2θ 36.80, I = 63

Structural model:
a = 6.6398 Å, b = 7.3295 Å, c = 11.6596 Å
α = 90.00°, β = 122.54°, γ = 90.00°
Space group P2_1/c (No. 14)
Inequivalent atoms, fractional coordinates:
Nd 0.1130 0.0415 0.2401
Nd 0.2381 0.6891 0.0655
Nd 0.3686 0.1697 0.0588
Ir 0.3045 0.1025 0.7583
N 0.0000 0.0000 0.0000

No. 3
Starting from DFT lattice parameters and positions (GGA-PBE), the powder X-ray diffraction pattern of Ac2Pm3Nd5 was calculated for Cu Kα.

Largest 8 diffraction maxima, by angle, 2θ = 10–80°:
2θ 21.57, I = 16; 2θ 26.95, I = 45; 2θ 29.50, I = 100; 2θ 30.08, I = 54; 2θ 31.56, I = 69; 2θ 43.96, I = 16; 2θ 53.03, I = 31; 2θ 63.25, I = 23

Structural model:
a = 10.1674 Å, b = 15.5700 Å, c = 10.1488 Å
α = 90.00°, β = 108.40°, γ = 90.00°
Space group C2/c (No. 15)
Inequivalent atoms, fractional coordinates:
Ac 0.2498 0.1061 0.9999
Pm 0.0000 0.2498 0.2500
Pm 0.1545 0.1220 0.5951
Nd 0.0000 0.0361 0.2500
Nd 0.0000 0.2486 0.7500
Nd 0.0000 0.4630 0.2500
Nd 0.1541 0.3768 0.5959

No. 4
Starting from DFT lattice parameters and positions (GGA-PBE), the powder X-ray diffraction pattern of CsCu4Se4 was calculated for Cu Kα.

Largest 8 diffraction maxima, by angle, 2θ = 10–80°:
2θ 28.03, I = 65; 2θ 29.55, I = 100; 2θ 40.05, I = 28; 2θ 43.18, I = 12; 2θ 44.42, I = 20; 2θ 50.55, I = 76; 2θ 53.35, I = 21; 2θ 61.34, I = 16

Structural model:
a = 10.0676 Å, b = 10.0676 Å, c = 4.0788 Å
α = 90.00°, β = 90.00°, γ = 90.00°
Space group I4/m (No. 87)
Inequivalent atoms, fractional coordinates:
Cs 0.0000 0.0000 0.0000
Cu 0.1437 0.7044 0.5000
Se 0.0974 0.2889 0.5000

No. 5
Starting from DFT lattice parameters and positions (GGA-PBE), the powder X-ray diffraction pattern of Sc5Bi5Sb was calculated for Cu Kα.

Largest 8 diffraction maxima, by angle, 2θ = 10–80°:
2θ 25.92, I = 100; 2θ 26.02, I = 99; 2θ 29.76, I = 81; 2θ 30.14, I = 74; 2θ 30.32, I = 78; 2θ 43.00, I = 88; 2θ 43.28, I = 56; 2θ 51.29, I = 34

Structural model:
a = 13.3626 Å, b = 5.8953 Å, c = 8.4640 Å
α = 90.00°, β = 109.17°, γ = 90.00°
Space group C2/m (No. 12)
Inequivalent atoms, fractional coordinates:
Sc 0.0000 0.0000 0.0000
Sc 0.1659 0.5000 0.3267
Sc 0.1687 0.5000 0.8421
Bi 0.0000 0.5000 0.5000
Bi 0.1539 0.0000 0.8094
Bi 0.1616 0.0000 0.3411
Sb 0.0000 0.5000 0.0000

No. 6
Starting from DFT lattice parameters and positions (GGA-PBE), the powder X-ray diffraction pattern of Tb2PaGe3Pt4 was calculated for Cu Kα.

Largest 8 diffraction maxima, by angle, 2θ = 10–80°:
2θ 26.19, I = 21; 2θ 31.82, I = 19; 2θ 33.61, I = 100; 2θ 38.46, I = 16; 2θ 42.11, I = 51; 2θ 44.07, I = 32; 2θ 61.07, I = 17; 2θ 71.54, I = 23

Structural model:
a = 4.2920 Å, b = 4.2920 Å, c = 11.1707 Å
α = 90.00°, β = 90.00°, γ = 90.00°
Space group P-4m2 (No. 115)
Inequivalent atoms, fractional coordinates:
Tb 0.0000 0.5000 0.2143
Pa 0.0000 0.0000 0.5000
Ge 0.0000 0.5000 0.8753
Ge 0.5000 0.5000 0.5000
Pt 0.0000 0.0000 0.0000
Pt 0.0000 0.5000 0.6566
Pt 0.5000 0.5000 0.0000